Entry 1:
For Na3W2N5, the PBE geometry in Alexandria gives the theoretical powder XRD pattern in this record (Cu Kα (λ = 1.5418 Å)).
Kinematic intensities with the Lorentz-polarization factor, no thermal factor.

Largest 10 diffraction maxima, by intensity, 2θ from 10° to 80°:
19.16°, I 100
30.91°, I 86
32.75°, I 34
12.47°, I 28
38.21°, I 27
57.31°, I 25
34.96°, I 19
48.65°, I 15
46.99°, I 13
53.78°, I 13

Cell and atoms:
Cell lengths 9.6849, 9.6849, 9.6849 Å; angles 101.69, 101.69, 126.49 degrees
Fractional coordinates of all 40 atoms:
1 Na 0.0000 0.0000 0.0000
2 Na 0.0195 0.1388 0.6646
3 Na 0.1049 0.2695 0.3807
4 Na 0.1570 0.6570 0.5000
5 Na 0.3030 0.9250 0.2333
6 Na 0.4070 0.4070 0.0000
7 Na 0.4742 0.3549 0.3354
8 Na 0.6750 0.9417 0.1219
9 Na 0.6917 0.0698 0.7667
10 Na 0.7500 0.2500 0.5000
11 Na 0.8198 0.5530 0.8781
12 Na 0.8888 0.7242 0.6193
13 W 0.1112 0.4251 0.1184
14 W 0.1751 0.5567 0.8138
15 W 0.3067 0.9928 0.8816
16 W 0.3347 0.1133 0.5999
17 W 0.4849 0.5847 0.7214
18 W 0.5135 0.7349 0.4001
19 W 0.7428 0.3612 0.1862
20 W 0.8633 0.7635 0.2786
21 N 0.0440 0.3795 0.9015
22 N 0.0794 0.8937 0.4663
23 N 0.0818 0.4196 0.6132
24 N 0.1295 0.7280 0.8355
25 N 0.1696 0.0563 0.8378
26 N 0.2186 0.3318 0.1622
27 N 0.3001 0.6869 0.2540
28 N 0.3631 0.3294 0.6857
29 N 0.4274 0.6131 0.5337
30 N 0.4329 0.0461 0.7460
31 N 0.4369 0.6829 0.8868
32 N 0.4604 0.1672 0.4810
33 N 0.4780 0.1425 0.0985
34 N 0.6437 0.6774 0.3143
35 N 0.6862 0.9793 0.5190
36 N 0.7293 0.7104 0.7932
37 N 0.7961 0.5501 0.1132
38 N 0.8063 0.4686 0.3868
39 N 0.8925 0.2940 0.1645
40 N 0.9172 0.9362 0.2068

Entry 2:
For Gd2B6Os, the PBE geometry in Alexandria gives the theoretical powder XRD pattern in this record (Cu Kα (λ = 1.5418 Å)).
Kinematic intensities with the Lorentz-polarization factor, no thermal factor.

Largest 10 diffraction maxima, by intensity, 2θ from 10° to 80°:
24.13°, I 100
38.88°, I 43
38.99°, I 41
40.78°, I 36
30.02°, I 35
41.24°, I 31
32.37°, I 29
30.15°, I 29
39.55°, I 26
32.93°, I 24

Cell and atoms:
Cell lengths 9.2396, 11.5936, 3.6875 Å; angles 90.00, 90.00, 90.00 degrees
Fractional coordinates of all 36 atoms:
1 Gd 0.0555 0.1260 0.0000
2 Gd 0.1766 0.4130 0.0000
3 Gd 0.3234 0.9130 0.0000
4 Gd 0.4445 0.6260 0.0000
5 Gd 0.5555 0.3740 0.0000
6 Gd 0.6766 0.0870 0.0000
7 Gd 0.8234 0.5870 0.0000
8 Gd 0.9445 0.8740 0.0000
9 B 0.0150 0.2867 0.5000
10 B 0.0537 0.5677 0.5000
11 B 0.1144 0.9682 0.5000
12 B 0.1328 0.8135 0.5000
13 B 0.2099 0.2316 0.5000
14 B 0.2466 0.5798 0.5000
15 B 0.2534 0.0798 0.5000
16 B 0.2901 0.7316 0.5000
17 B 0.3672 0.3135 0.5000
18 B 0.3856 0.4682 0.5000
19 B 0.4463 0.0677 0.5000
20 B 0.4850 0.7867 0.5000
21 B 0.5150 0.2133 0.5000
22 B 0.5537 0.9323 0.5000
23 B 0.6144 0.5318 0.5000
24 B 0.6328 0.6865 0.5000
25 B 0.7099 0.2684 0.5000
26 B 0.7466 0.9202 0.5000
27 B 0.7534 0.4202 0.5000
28 B 0.7901 0.7684 0.5000
29 B 0.8672 0.1865 0.5000
30 B 0.8856 0.0318 0.5000
31 B 0.9463 0.4323 0.5000
32 B 0.9850 0.7133 0.5000
33 Os 0.1379 0.6784 0.0000
34 Os 0.3621 0.1784 0.0000
35 Os 0.6379 0.8216 0.0000
36 Os 0.8621 0.3216 0.0000

Entry 3:
For Tb4Sm2Te3N2, the PBE geometry in Alexandria gives the theoretical powder XRD pattern in this record (Cu Kα (λ = 1.5418 Å)).
Kinematic intensities with the Lorentz-polarization factor, no thermal factor.

Largest 10 diffraction maxima, by intensity, 2θ from 10° to 80°:
34.48°, I 100
39.07°, I 52
28.23°, I 43
67.85°, I 28
30.71°, I 22
64.29°, I 19
56.44°, I 18
53.21°, I 18
34.67°, I 15
50.73°, I 14

Cell and atoms:
Cell lengths 13.3411, 13.3411, 13.3411 Å; angles 160.10, 160.10, 28.29 degrees
Fractional coordinates of all 11 atoms:
1 Tb 0.0854 0.5854 0.5000
2 Tb 0.4146 0.9146 0.5000
3 Tb 0.5854 0.0854 0.5000
4 Tb 0.9146 0.4146 0.5000
5 Sm 0.1958 0.1958 0.0000
6 Sm 0.8042 0.8042 0.0000
7 Te 0.3228 0.3228 0.0000
8 Te 0.5000 0.5000 0.0000
9 Te 0.6772 0.6772 0.0000
10 N 0.1035 0.1035 0.0000
11 N 0.8965 0.8965 0.0000